(1)
Structure and theoretical powder diffractogram of BaTe6Mo6 (DFT lattice parameters and positions (GGA-PBE); Cu Kα (λ = 1.5418 Å)).

Peak list (12 most intense, 2θ from 10° to 80°, low angle first)
index	2theta	I (rel.)
1 0 0	10.66	100
1 1 1	26.80	43
1 2 0	28.46	29
2 0 1	28.91	15
1 2 1	34.56	43
0 0 2	38.95	28
1 3 0	39.15	16
2 2 1	42.51	39
1 3 1	43.95	36
1 2 2	48.94	13
2 3 1	51.95	18
5 1 2	75.98	13

Cell and atoms:
```
data_BaTe6Mo6
_space_group_name_H-M_alt 'P -6'
_space_group_IT_number 174
_space_group_name_Hall 'P -6'
_cell_length_a 9.5796
_cell_length_b 9.5796
_cell_length_c 4.6245
_cell_angle_alpha 90.00
_cell_angle_beta 90.00
_cell_angle_gamma 120.00
loop_
_atom_site_label
_atom_site_type_symbol
_atom_site_fract_x
_atom_site_fract_y
_atom_site_fract_z
_atom_site_occupancy
Ba1 Ba 0.0000 0.0000 0.0000 1
Te1 Te 0.0375 0.4034 0.0000 1
Te2 Te 0.2979 0.2719 0.5000 1
Mo1 Mo 0.4928 0.3009 0.0000 1
Mo2 Mo 0.5230 0.1595 0.5000 1
```



(2)
Structure and theoretical powder diffractogram of BaCuSb2Pd (DFT lattice parameters and positions (GGA-PBE); Cu Kα (λ = 1.5418 Å)).

Peak list (12 most intense, 2θ from 10° to 80°, low angle first)
index	2theta	I (rel.)
1 1 0	26.74	24
1 0 3	30.38	100
1 1 2	31.15	66
2 0 0	38.17	73
1 1 4	41.92	29
1 0 5	44.47	19
2 1 3	49.54	50
2 2 0	55.09	25
1 1 6	56.10	24
2 1 5	60.01	15
3 1 2	64.65	15
2 0 8	79.05	15

Cell and atoms:
```
data_BaCuSb2Pd
_space_group_name_H-M_alt 'I -4 m 2'
_space_group_IT_number 119
_space_group_name_Hall 'I -4 -2'
_cell_length_a 4.715
_cell_length_b 4.715
_cell_length_c 11.297
_cell_angle_alpha 90.00
_cell_angle_beta 90.00
_cell_angle_gamma 90.00
loop_
_atom_site_label
_atom_site_type_symbol
_atom_site_fract_x
_atom_site_fract_y
_atom_site_fract_z
_atom_site_occupancy
Ba1 Ba 0.000 0.000 0.000 1
Cu1 Cu 0.000 0.500 0.750 1
Sb1 Sb 0.000 0.000 0.365 1
Pd1 Pd 0.000 0.500 0.250 1
```